No. 1
Diffraction record for K2PtC4O10. The X-ray powder pattern is theoretical, not measured: it uses DFT lattice parameters and positions (GGA-PBE) and CuKα.
Intensities are scaled so that the largest is 100.

The 6 most intense peaks (2θ from 5° to 70°), in order of rising 2θ:
2θ (°), I/Imax
12.54, 100
16.86, 65
18.10, 74
19.07, 78
25.47, 43
28.12, 79

a b c (Å): 6.6382 14.1221 6.0776
angles (deg): 90.00 111.25 90.00
Fractional positions:
K 0.0521 0.1505 0.4906
K 0.0521 0.3495 0.9906
K 0.9479 0.6505 0.0094
K 0.9479 0.8495 0.5094
Pt 0.5000 0.0000 0.5000
Pt 0.5000 0.5000 0.0000
C 0.2305 0.6128 0.6268
C 0.2305 0.8872 0.1268
C 0.2452 0.5145 0.5177
C 0.2452 0.9855 0.0177
C 0.7548 0.0145 0.9823
C 0.7548 0.4855 0.4823
C 0.7695 0.1128 0.8732
C 0.7695 0.3872 0.3732
O 0.1224 0.6770 0.5033
O 0.1224 0.8230 0.0033
O 0.1413 0.0017 0.8072
O 0.1413 0.4983 0.3072
O 0.3323 0.6174 0.8562
O 0.3323 0.8826 0.3562
O 0.3601 0.2228 0.9283
O 0.3601 0.2772 0.4283
O 0.3657 0.0472 0.1680
O 0.3657 0.4528 0.6680
O 0.6343 0.5472 0.3320
O 0.6343 0.9528 0.8320
O 0.6399 0.7228 0.5717
O 0.6399 0.7772 0.0717
O 0.6677 0.1174 0.6438
O 0.6677 0.3826 0.1438
O 0.8587 0.5017 0.6928
O 0.8587 0.9983 0.1928
O 0.8776 0.1770 0.9967
O 0.8776 0.3230 0.4967

No. 2
Diffraction record for K6Rh2C12O33. The X-ray powder pattern is theoretical, not measured: it uses DFT lattice parameters and positions (GGA-PBE) and CuKα.
Intensities are scaled so that the largest is 100.

The 6 most intense peaks (2θ from 5° to 70°), in order of rising 2θ:
2θ (°), I/Imax
7.18, 37
8.71, 43
10.09, 74
15.93, 100
17.47, 33
32.19, 33

a b c (Å): 6.8927 10.3921 12.5806
angles (deg): 78.08 88.49 86.65
Fractional positions:
K 0.0000 0.0000 0.0000
K 0.9997 0.4523 0.1106
K 0.5226 0.4979 0.9050
K 0.5399 0.0655 0.7773
K 0.7116 0.6129 0.3752
K 0.8109 0.8928 0.5372
Rh 0.0999 0.5620 0.7413
Rh 0.4239 0.9328 0.1665
C 0.0403 0.6971 0.9140
C 0.1054 0.8549 0.3063
C 0.1282 0.2848 0.8081
C 0.2587 0.9036 0.3769
C 0.2617 0.5885 0.5302
C 0.3998 0.2108 0.1028
C 0.4134 0.6430 0.5990
C 0.4853 0.8022 0.9917
C 0.5712 0.7066 0.0931
C 0.6211 0.1699 0.1014
C 0.9073 0.3249 0.8124
C 0.9516 0.7904 0.8127
O 0.0375 0.7287 0.0036
O 0.0872 0.5308 0.3124
O 0.1004 0.5540 0.5794
O 0.1102 0.5818 0.8992
O 0.1667 0.8482 0.2086
O 0.1881 0.1686 0.8382
O 0.2127 0.9062 0.4730
O 0.2410 0.3814 0.7727
O 0.2859 0.1147 0.1373
O 0.3062 0.5855 0.4340
O 0.3419 0.3273 0.0720
O 0.3538 0.6485 0.6970
O 0.3800 0.2023 0.4496
O 0.4174 0.9174 0.0073
O 0.4228 0.9342 0.3294
O 0.4233 0.9558 0.5981
O 0.4878 0.7707 0.9021
O 0.5258 0.1410 0.4227
O 0.5646 0.7515 0.1826
O 0.5723 0.6781 0.5595
O 0.6270 0.3179 0.5832
O 0.6435 0.5966 0.0857
O 0.6624 0.0427 0.1246
O 0.7435 0.2541 0.0782
O 0.7543 0.3478 0.3056
O 0.7863 0.2404 0.8404
O 0.7977 0.2674 0.5599
O 0.8384 0.1433 0.6073
O 0.8632 0.4515 0.7867
O 0.8787 0.9003 0.8196
O 0.8877 0.2620 0.3249
O 0.9436 0.8248 0.3446
O 0.9558 0.7432 0.7243

No. 3
Diffraction record for K2SnC4O9. The X-ray powder pattern is theoretical, not measured: it uses DFT lattice parameters and positions (GGA-PBE) and CuKα.
Intensities are scaled so that the largest is 100.

The 6 most intense peaks (2θ from 5° to 70°), in order of rising 2θ:
2θ (°), I/Imax
15.13, 57
15.35, 74
17.25, 48
22.69, 49
29.46, 74
29.56, 100

a b c (Å): 6.5545 6.5942 11.8961
angles (deg): 94.44 92.63 102.91
Fractional positions:
K 0.0194 0.2325 0.1141
K 0.2582 0.5639 0.4202
K 0.7418 0.4361 0.5798
K 0.9806 0.7675 0.8859
Sn 0.2537 0.3497 0.7707
Sn 0.7463 0.6503 0.2293
C 0.1704 0.9168 0.6353
C 0.2544 0.0650 0.5420
C 0.3391 0.7243 0.1166
C 0.4961 0.7548 0.0197
C 0.5039 0.2452 0.9803
C 0.6609 0.2757 0.8834
C 0.7456 0.9350 0.4580
C 0.8296 0.0832 0.3647
O 0.1109 0.7250 0.6102
O 0.1547 0.7393 0.0975
O 0.1667 0.0077 0.7350
O 0.2539 0.9850 0.4433
O 0.3132 0.2506 0.9519
O 0.3137 0.2603 0.5764
O 0.3701 0.2466 0.2771
O 0.4122 0.6734 0.2107
O 0.4245 0.7733 0.9231
O 0.5755 0.2267 0.0769
O 0.5878 0.3266 0.7893
O 0.6299 0.7534 0.7229
O 0.6863 0.7397 0.4236
O 0.6868 0.7494 0.0481
O 0.7461 0.0150 0.5567
O 0.8333 0.9923 0.2650
O 0.8453 0.2607 0.9025
O 0.8891 0.2750 0.3898